No. 1
Theoretical XRD peak list
Compound: CoCuSnRh
Radiation: Cu Kα (λ = 1.5418 Å)
Structure: a structure optimized by DFT (GGA-PBE)
Peak positions follow from Bragg's law for the DFT cell and can differ from measured ones.

Most intense lines, 10° ≤ 2θ ≤ 90°, low angle first:
(hkl)	2θ/deg	I/Imax
1 1 1	25.27	9
2 2 0	41.85	100
3 1 1	49.52	5
4 0 0	60.68	16
3 3 1	66.79	2
4 2 2	76.43	33
5 1 1	82.02	2

Crystal structure
```
data_CoCuSnRh
_space_group_name_H-M_alt 'F -4 3 m'
_space_group_IT_number 216
_space_group_name_Hall 'F -4 2 3'
_cell_length_a 6.105
_cell_length_b 6.105
_cell_length_c 6.105
_cell_angle_alpha 90.00
_cell_angle_beta 90.00
_cell_angle_gamma 90.00
loop_
_atom_site_label
_atom_site_type_symbol
_atom_site_fract_x
_atom_site_fract_y
_atom_site_fract_z
Co1 Co 0.000 0.000 0.000
Cu1 Cu 0.250 0.250 0.750
Sn1 Sn 0.250 0.250 0.250
Rh1 Rh 0.000 0.000 0.500
```

=====

No. 2
Theoretical XRD peak list
Compound: K3H7Ru
Radiation: Cu Kα (λ = 1.5418 Å)
Structure: a structure optimized by DFT (GGA-PBE)
Peak positions follow from Bragg's law for the DFT cell and can differ from measured ones.

Most intense lines, 10° ≤ 2θ ≤ 90°, low angle first:
(hkl)	2θ/deg	I/Imax
1 1 0	18.27	57
0 0 1	20.15	12
0 2 1	29.56	100
2 0 0	29.86	97
2 2 -1	30.74	91
0 0 2	40.97	21
0 4 0	43.59	17
4 0 -2	44.46	15
2 2 1	52.08	37
2 4 0	53.73	33
4 2 -1	54.30	32
4 4 -2	64.01	12

Crystal structure
```
data_K3H7Ru
_space_group_name_H-M_alt 'C 1 m 1'
_space_group_IT_number 8
_cell_length_a 8.151
_cell_length_b 8.306
_cell_length_c 6.000
_cell_angle_alpha 90.00
_cell_angle_beta 132.75
_cell_angle_gamma 90.00
loop_
_space_group_symop_operation_xyz
'x,y,z'
'x,-y,z'
'x+1/2,y+1/2,z'
'x+1/2,-y+1/2,z'
loop_
_atom_site_label
_atom_site_type_symbol
_atom_site_fract_x
_atom_site_fract_y
_atom_site_fract_z
K1 K 0.000 0.000 0.000
K2 K 0.489 0.250 0.500
H1 H 0.041 0.306 0.001
H2 H 0.180 0.500 0.394
H3 H 0.191 0.500 0.002
H4 H 0.289 0.000 0.607
H5 H 0.317 0.113 0.999
Ru1 Ru 0.484 0.000 0.000
```

=====

What is the formula in the second record? K3H7Ru

=====

Please write out number 2 again, unchanged.
Theoretical XRD peak list
Compound: K3H7Ru
Radiation: Cu Kα (λ = 1.5418 Å)
Structure: a structure optimized by DFT (GGA-PBE)
Peak positions follow from Bragg's law for the DFT cell and can differ from measured ones.

Most intense lines, 10° ≤ 2θ ≤ 90°, low angle first:
(hkl)	2θ/deg	I/Imax
1 1 0	18.27	57
0 0 1	20.15	12
0 2 1	29.56	100
2 0 0	29.86	97
2 2 -1	30.74	91
0 0 2	40.97	21
0 4 0	43.59	17
4 0 -2	44.46	15
2 2 1	52.08	37
2 4 0	53.73	33
4 2 -1	54.30	32
4 4 -2	64.01	12

Crystal structure
```
data_K3H7Ru
_space_group_name_H-M_alt 'C 1 m 1'
_space_group_IT_number 8
_cell_length_a 8.151
_cell_length_b 8.306
_cell_length_c 6.000
_cell_angle_alpha 90.00
_cell_angle_beta 132.75
_cell_angle_gamma 90.00
loop_
_space_group_symop_operation_xyz
'x,y,z'
'x,-y,z'
'x+1/2,y+1/2,z'
'x+1/2,-y+1/2,z'
loop_
_atom_site_label
_atom_site_type_symbol
_atom_site_fract_x
_atom_site_fract_y
_atom_site_fract_z
K1 K 0.000 0.000 0.000
K2 K 0.489 0.250 0.500
H1 H 0.041 0.306 0.001
H2 H 0.180 0.500 0.394
H3 H 0.191 0.500 0.002
H4 H 0.289 0.000 0.607
H5 H 0.317 0.113 0.999
Ru1 Ru 0.484 0.000 0.000
```